Starting from the GGA-PBE geometry in Alexandria, the powder diffraction line list of Rb3U4S12 was simulated for Cu Kα (λ = 1.5418 Å).
No peak broadening, texture or thermal motion is included.

Crystal structure
```
Rb3U4S12
1.0
-5.1823 5.1823 5.1823
5.1823 -5.1823 5.1823
5.1823 5.1823 -5.1823
Rb U S
3 4 12
direct
0.0000 0.5000 0.5000
0.5000 0.0000 0.5000
0.5000 0.5000 0.0000
0.0000 0.0000 0.5000
0.0000 0.5000 0.0000
0.5000 0.0000 0.0000
0.5000 0.5000 0.5000
0.0000 0.2515 0.7485
0.0000 0.7485 0.2515
0.2515 0.0000 0.7485
0.2515 0.2515 0.5029
0.2515 0.5029 0.2515
0.2515 0.7485 0.0000
0.4971 0.7485 0.7485
0.5029 0.2515 0.2515
0.7485 0.0000 0.2515
0.7485 0.2515 0.0000
0.7485 0.4971 0.7485
0.7485 0.7485 0.4971
```

Most intense lines, 10 to 80 degrees two-theta, by intensity:
d_spacing	2θ (°)	I_rel
3.664	24.29	100
5.182	17.11	66
2.591	34.62	47
2.116	42.74	47
2.318	38.86	35
1.832	49.77	33
1.385	67.64	26
1.639	56.12	22